# 1
# ZnMo2O4
Computed X-ray powder pattern, CuKα. Input: a GGA+U-relaxed structure.
No peak broadening, texture or thermal motion is included.

Structure:
```
data_ZnMo2O4
_chemical_formula_sum 'Zn6 Mo12 O24'
_symmetry_space_group_name_H-M 'P 1'
_symmetry_Int_Tables_number 1
_cell_length_a 6.207
_cell_length_b 6.497
_cell_length_c 15.278
_cell_angle_alpha 91.17
_cell_angle_beta 91.86
_cell_angle_gamma 118.07
loop_
_symmetry_equiv_pos_as_xyz
'x,y,z'
loop_
_atom_site_label
_atom_site_type_symbol
_atom_site_fract_x
_atom_site_fract_y
_atom_site_fract_z
Zn1 Zn 0.000 0.000 0.000
Zn2 Zn 0.000 0.010 0.375
Zn3 Zn 0.163 0.828 0.535
Zn4 Zn 0.323 0.670 0.704
Zn5 Zn 0.491 0.500 0.875
Zn6 Zn 0.841 0.174 0.210
Mo1 Mo 0.158 0.334 0.542
Mo2 Mo 0.334 0.688 0.087
Mo3 Mo 0.336 0.170 0.210
Mo4 Mo 0.347 0.657 0.326
Mo5 Mo 0.494 0.010 0.871
Mo6 Mo 0.656 0.316 0.645
Mo7 Mo 0.657 0.834 0.540
Mo8 Mo 0.663 0.355 0.433
Mo9 Mo 0.665 0.343 0.039
Mo10 Mo 0.840 0.674 0.210
Mo11 Mo 0.987 0.014 0.754
Mo12 Mo 0.990 0.508 0.872
O1 O 0.025 0.543 0.615
O2 O 0.151 0.826 0.793
O3 O 0.155 0.297 0.297
O4 O 0.165 0.357 0.789
O5 O 0.184 0.860 0.284
O6 O 0.296 0.132 0.469
O7 O 0.317 0.632 0.462
O8 O 0.341 0.695 0.946
O9 O 0.342 0.184 0.951
O10 O 0.470 0.957 0.627
O11 O 0.493 0.478 0.130
O12 O 0.497 0.536 0.620
O13 O 0.516 0.044 0.117
O14 O 0.647 0.324 0.797
O15 O 0.651 0.836 0.793
O16 O 0.681 0.360 0.286
O17 O 0.686 0.866 0.277
O18 O 0.816 0.649 0.956
O19 O 0.820 0.136 0.463
O20 O 0.832 0.195 0.951
O21 O 0.846 0.718 0.451
O22 O 0.981 0.477 0.132
O23 O 0.987 0.029 0.625
O24 O 0.995 0.987 0.132
```

Main lines, by angle (10 to 90 degrees two-theta):
2θ = 28.68°, d 3.113, I = 41.9, (1 -1 4); 2θ = 31.55°, d 2.836, I = 33.5, (0 2 -1); 2θ = 31.82°, d 2.812, I = 37.3, (1 1 -3); 2θ = 32.69°, d 2.739, I = 29.4, (0 1 -5); 2θ = 33.39°, d 2.683, I = 100.0, (-2 2 1); 2θ = 33.55°, d 2.671, I = 85.8, (-1 1 5); 2θ = 33.87°, d 2.646, I = 26.4, (0 2 2); 2θ = 34.32°, d 2.613, I = 79.0, (1 0 5); 2θ = 56.42°, d 1.631, I = 29.6, (2 2 0); 2θ = 56.79°, d 1.621, I = 27.5, (2 -4 0)


# 2
# ZnMo2O4
Computed X-ray powder pattern, CuKα. Input: a GGA+U-relaxed structure.
No peak broadening, texture or thermal motion is included.

Structure:
```
data_ZnMo2O4
_chemical_formula_sum 'Zn4 Mo8 O16'
_symmetry_space_group_name_H-M 'C m c m'
_symmetry_Int_Tables_number 63
_symmetry_space_group_name_Hall '-C 2c 2'
_cell_length_a 3.131
_cell_length_b 10.338
_cell_length_c 10.413
_cell_angle_alpha 90.00
_cell_angle_beta 90.00
_cell_angle_gamma 90.00
loop_
_atom_site_label
_atom_site_type_symbol
_atom_site_fract_x
_atom_site_fract_y
_atom_site_fract_z
Zn1 Zn 0.000 0.105 0.250
Mo1 Mo 0.000 0.368 0.073
O1 O 0.000 0.000 0.000
O2 O 0.000 0.270 0.613
O3 O 0.000 0.478 0.250
```

Main lines, by angle (10 to 90 degrees two-theta):
2θ = 31.04°, d 2.881, I = 100.0, (0 2 3); 2θ = 34.53°, d 2.597, I = 21.4, (1 1 2); 2θ = 34.71°, d 2.584, I = 18.2, (0 4 0); 2θ = 38.87°, d 2.317, I = 15.3, (1 3 0); 2θ = 39.85°, d 2.262, I = 26.7, (1 3 1); 2θ = 42.71°, d 2.117, I = 25.7, (1 3 2); 2θ = 53.59°, d 1.710, I = 14.7, (1 1 5); 2θ = 56.17°, d 1.638, I = 12.6, (1 5 2); 2θ = 59.90°, d 1.544, I = 24.8, (0 6 3); 2θ = 68.17°, d 1.376, I = 15.8, (2 2 3)


# 3
# ZnMo2O4
Computed X-ray powder pattern, CuKα. Input: a GGA+U-relaxed structure.
No peak broadening, texture or thermal motion is included.

Structure:
```
data_ZnMo2O4
_chemical_formula_sum 'Zn4 Mo8 O16'
_symmetry_space_group_name_H-M 'P m m n'
_symmetry_Int_Tables_number 59
_cell_length_a 6.437
_cell_length_b 10.464
_cell_length_c 5.528
_cell_angle_alpha 90.00
_cell_angle_beta 90.00
_cell_angle_gamma 90.00
loop_
_symmetry_equiv_pos_as_xyz
'x,y,z'
'-x,-y,-z'
'-x+1/2,-y+1/2,z'
'x+1/2,y+1/2,-z'
'x+1/2,-y,-z'
'-x+1/2,y,z'
'-x,y+1/2,-z'
'x,-y+1/2,z'
loop_
_atom_site_label
_atom_site_type_symbol
_atom_site_fract_x
_atom_site_fract_y
_atom_site_fract_z
Zn1 Zn 0.250 0.250 0.049
Zn2 Zn 0.250 0.750 0.362
Mo1 Mo 0.000 0.000 0.500
Mo2 Mo 0.250 0.520 0.983
O1 O 0.007 0.112 0.835
O2 O 0.250 0.098 0.297
O3 O 0.250 0.614 0.627
```

Main lines, by angle (10 to 90 degrees two-theta):
2θ = 16.95°, d 5.232, I = 100.0, (0 2 0); 2θ = 32.18°, d 2.782, I = 64.4, (2 0 1); 2θ = 32.39°, d 2.764, I = 37.0, (0 0 2); 2θ = 33.41°, d 2.682, I = 32.2, (1 3 1); 2θ = 34.28°, d 2.616, I = 34.3, (0 4 0); 2θ = 36.59°, d 2.456, I = 93.6, (2 2 1); 2θ = 36.77°, d 2.444, I = 38.5, (0 2 2); 2θ = 47.73°, d 1.906, I = 68.4, (2 4 1); 2θ = 47.88°, d 1.900, I = 36.0, (0 4 2); 2θ = 57.64°, d 1.599, I = 33.0, (2 0 3)


# 4
# ZnMo2O4
Computed X-ray powder pattern, CuKα. Input: a GGA+U-relaxed structure.
No peak broadening, texture or thermal motion is included.

Structure:
```
data_ZnMo2O4
_chemical_formula_sum 'Zn4 Mo8 O16'
_symmetry_space_group_name_H-M 'P n m a'
_symmetry_Int_Tables_number 62
_cell_length_a 9.659
_cell_length_b 3.161
_cell_length_c 11.003
_cell_angle_alpha 90.00
_cell_angle_beta 90.00
_cell_angle_gamma 90.00
loop_
_symmetry_equiv_pos_as_xyz
'x,y,z'
'-x,-y,-z'
'-x+1/2,-y,z+1/2'
'x+1/2,y,-z+1/2'
'x+1/2,-y+1/2,-z+1/2'
'-x+1/2,y+1/2,z+1/2'
'-x,y+1/2,-z'
'x,-y+1/2,z'
loop_
_atom_site_label
_atom_site_type_symbol
_atom_site_fract_x
_atom_site_fract_y
_atom_site_fract_z
Zn1 Zn 0.247 0.250 0.152
Mo1 Mo 0.047 0.250 0.377
Mo2 Mo 0.106 0.250 0.902
O1 O 0.083 0.750 0.779
O2 O 0.101 0.250 0.569
O3 O 0.116 0.750 0.048
O4 O 0.186 0.750 0.324
```

Main lines, by angle (10 to 90 degrees two-theta):
2θ = 32.21°, d 2.779, I = 100.0, (3 0 2); 2θ = 32.55°, d 2.751, I = 53.4, (0 0 4); 2θ = 33.89°, d 2.645, I = 35.3, (2 1 0); 2θ = 34.00°, d 2.637, I = 91.4, (1 1 2); 2θ = 47.34°, d 1.920, I = 29.1, (4 1 0); 2θ = 47.70°, d 1.907, I = 31.1, (2 1 4); 2θ = 48.13°, d 1.890, I = 27.3, (4 1 1); 2θ = 53.92°, d 1.700, I = 25.5, (4 1 3); 2θ = 58.39°, d 1.580, I = 27.8, (0 2 0); 2θ = 68.26°, d 1.374, I = 23.5, (3 2 2)


# 5
# ZnMo6O16
Computed X-ray powder pattern, CuKα. Input: a GGA+U-relaxed structure.
No peak broadening, texture or thermal motion is included.

Structure:
```
data_ZnMo6O16
_chemical_formula_sum 'Zn1 Mo6 O16'
_symmetry_space_group_name_H-M 'P 3 m 1'
_symmetry_Int_Tables_number 156
_cell_length_a 6.1870
_cell_length_b 6.1870
_cell_length_c 9.5577
_cell_angle_alpha 90.00
_cell_angle_beta 90.00
_cell_angle_gamma 120.00
loop_
_symmetry_equiv_pos_as_xyz
'x,y,z'
'-y,x-y,z'
'-x+y,-x,z'
'-y,-x,z'
'-x+y,y,z'
'x,x-y,z'
loop_
_atom_site_label
_atom_site_type_symbol
_atom_site_fract_x
_atom_site_fract_y
_atom_site_fract_z
Zn1 Zn 0.0000 0.0000 0.0000
Mo1 Mo 0.1671 0.3343 0.2900
Mo2 Mo 0.5026 0.0051 0.7860
O1 O 0.0000 0.0000 0.4013
O2 O 0.0329 0.5164 0.3901
O3 O 0.1753 0.3507 0.8941
O4 O 0.2800 0.1400 0.1707
O5 O 0.3333 0.6667 0.1756
O6 O 0.3333 0.6667 0.6831
O7 O 0.3782 0.1891 0.6811
O8 O 0.6667 0.3333 0.9038
```

Main lines, by angle (10 to 90 degrees two-theta):
2θ = 18.57°, d 4.779, I = 100.0, (0 0 2); 2θ = 18.99°, d 4.674, I = 63.6, (0 1 1); 2θ = 24.97°, d 3.566, I = 18.7, (1 0 2); 2θ = 34.54°, d 2.597, I = 25.0, (1 1 2); 2θ = 34.78°, d 2.580, I = 67.5, (0 2 1); 2θ = 38.52°, d 2.337, I = 28.6, (2 0 2); 2θ = 44.17°, d 2.050, I = 50.9, (2 0 3); 2θ = 59.39°, d 1.556, I = 31.7, (0 2 5); 2θ = 59.80°, d 1.547, I = 27.3, (2 2 0); 2θ = 63.18°, d 1.472, I = 18.8, (2 2 2)


# 6
# Zn3Mo2O9
Computed X-ray powder pattern, CuKα. Input: a GGA+U-relaxed structure.
No peak broadening, texture or thermal motion is included.

Structure:
```
data_Zn3Mo2O9
_chemical_formula_sum 'Zn6 Mo4 O18'
_symmetry_space_group_name_H-M 'P 1 21/m 1'
_symmetry_Int_Tables_number 11
_cell_length_a 7.872
_cell_length_b 7.215
_cell_length_c 8.219
_cell_angle_alpha 90.00
_cell_angle_beta 116.45
_cell_angle_gamma 90.00
loop_
_symmetry_equiv_pos_as_xyz
'x,y,z'
'-x,-y,-z'
'-x,y+1/2,-z'
'x,-y+1/2,z'
loop_
_atom_site_label
_atom_site_type_symbol
_atom_site_fract_x
_atom_site_fract_y
_atom_site_fract_z
Zn1 Zn 0.000 0.000 0.000
Zn2 Zn 0.174 0.250 0.806
Zn3 Zn 0.331 0.250 0.252
Mo1 Mo 0.171 0.750 0.689
Mo2 Mo 0.437 0.750 0.266
O1 O 0.005 0.250 0.541
O2 O 0.103 0.250 0.012
O3 O 0.141 0.548 0.805
O4 O 0.287 0.548 0.226
O5 O 0.375 0.250 0.510
O6 O 0.397 0.750 0.687
O7 O 0.454 0.250 0.885
```

Main lines, by angle (10 to 90 degrees two-theta):
2θ = 22.61°, d 3.933, I = 71.4, (2 0 -1); 2θ = 24.19°, d 3.680, I = 69.4, (0 0 2); 2θ = 24.37°, d 3.652, I = 39.7, (1 1 1); 2θ = 24.68°, d 3.607, I = 100.0, (0 2 0); 2θ = 25.80°, d 3.453, I = 65.4, (2 1 -1); 2θ = 32.70°, d 2.739, I = 64.9, (2 0 1); 2θ = 33.71°, d 2.659, I = 72.8, (2 2 -1); 2θ = 33.98°, d 2.638, I = 48.1, (2 0 -3); 2θ = 34.83°, d 2.576, I = 70.6, (0 2 2); 2θ = 50.61°, d 1.803, I = 45.4, (0 4 0)